For Dy4ErPbS8, the GGA-PBE geometry in Alexandria gives the computed powder X-ray diffraction pattern in this record (λ = 1.5418 Å (Cu Kα)).
No peak broadening, texture or thermal motion is included.

```
data_Dy4ErPbS8
_symmetry_space_group_name_H-M 'R 3 m'
_symmetry_Int_Tables_number 160
_symmetry_space_group_name_Hall 'R 3 -2"'
_cell_length_a 8.1456
_cell_length_b 8.1456
_cell_length_c 19.8651
_cell_angle_alpha 90.00
_cell_angle_beta 90.00
_cell_angle_gamma 120.00
loop_
_atom_site_label
_atom_site_type_symbol
_atom_site_fract_x
_atom_site_fract_y
_atom_site_fract_z
Dy1 Dy 0.0000 0.0000 0.0000
Dy2 Dy 0.1692 0.3384 0.2079
Er1 Er 0.0000 0.0000 0.3771
Pb1 Pb 0.0000 0.0000 0.7506
S1 S 0.0000 0.0000 0.1329
S2 S 0.0000 0.0000 0.6118
S3 S 0.0381 0.5190 0.1290
S4 S 0.1777 0.3555 0.9566
```

Principal peaks in the range 10° ≤ 2θ ≤ 80°, sorted by position:
- hkl 1 1 0, 2θ = 21.85°, I = 30.9
- hkl 0 1 5, 2θ = 25.69°, I = 100.0
- hkl 0 2 4, 2θ = 31.10°, I = 13.8
- hkl 1 2 5, 2θ = 40.75°, I = 43.2
- hkl 2 2 0, 2θ = 44.49°, I = 27.3
- hkl 2 0 8, 2θ = 44.63°, I = 27.2
- hkl 3 1 5, 2θ = 52.09°, I = 11.3
- hkl 4 1 3, 2θ = 61.90°, I = 15.1